This entry pairs a crystal structure of Mg3V4P6O24 with its computed X-ray diffraction stick pattern. Radiation: Cu Ka. Structure: a DFT-relaxed cell (GGA+U, Alexandria).

Peak list (10 most intense, 10 to 90 degrees two-theta, low angle first)
12.0 deg, I 43, (0 1 0)
20.4 deg, I 33, (1 -1 1)
28.4 deg, I 51, (2 0 -1)
29.5 deg, I 43, (2 -1 0)
29.7 deg, I 100, (0 2 1)
29.9 deg, I 60, (0 1 -3)
30.8 deg, I 35, (1 -2 2)
33.0 deg, I 21, (2 1 -2)
43.1 deg, I 18, (-3 1 2)
57.7 deg, I 18, (3 -3 2)

Cell and atoms:
abc: 6.4194 8.0148 9.4586
angles: 105.32 108.79 101.11
Space group P-1 (No. 2)
Symmetry-distinct sites (fractional):
1 Mg 0.0000 0.0000 0.0000
2 Mg 0.2793 0.8102 0.2896
3 V 0.0478 0.7169 0.5236
4 V 0.3873 0.4612 0.1160
5 P 0.0873 0.5906 0.8334
6 P 0.2286 0.1454 0.7699
7 P 0.3929 0.2274 0.3661
8 O 0.0159 0.1829 0.6611
9 O 0.0628 0.5423 0.6548
10 O 0.1021 0.7833 0.9134
11 O 0.1231 0.5426 0.1647
12 O 0.2140 0.9468 0.7094
13 O 0.2285 0.1994 0.9420
14 O 0.2464 0.2776 0.4610
15 O 0.2686 0.0361 0.2352
16 O 0.3084 0.5409 0.9194
17 O 0.3743 0.7718 0.5083
18 O 0.4516 0.3634 0.2862
19 O 0.4575 0.2622 0.7714